1.
# Pm8Ga2Ag3
Simulated powder diffraction line list, CuKα. Input: a structure optimized by DFT (GGA-PBE).
Neutral-atom scattering factors, no anomalous dispersion.

Structure:
Cell lengths 9.055, 9.055, 5.052 Å; angles 90.00, 90.00, 112.13 degrees
Fractional coordinates of all 13 atoms:
Pm 0.116 0.374 0.500
Pm 0.123 0.877 0.000
Pm 0.365 0.635 0.000
Pm 0.374 0.116 0.500
Pm 0.626 0.884 0.500
Pm 0.635 0.365 0.000
Pm 0.877 0.123 0.000
Pm 0.884 0.626 0.500
Ga 0.247 0.753 0.500
Ga 0.753 0.247 0.500
Ag 0.257 0.257 0.000
Ag 0.500 0.500 0.500
Ag 0.743 0.743 0.000

Main lines, in order of rising 2θ (10° ≤ 2θ ≤ 90°):
| 2theta | I (rel.) |
| --- | --- |
| 24.9 | 20 |
| 34.6 | 100 |
| 35.5 | 47 |
| 51.1 | 17 |
| 61.5 | 18 |
| 63.2 | 34 |



2.
# Sr3GaGe3
Simulated powder diffraction line list, CuKα. Input: a structure optimized by DFT (GGA-PBE).
Neutral-atom scattering factors, no anomalous dispersion.

Structure:
Cell lengths 6.309, 6.309, 14.701 Å; angles 108.24, 108.24, 43.87 degrees
Fractional coordinates of all 14 atoms:
Sr 0.020 0.020 0.382
Sr 0.106 0.106 0.924
Sr 0.233 0.233 0.228
Sr 0.767 0.767 0.772
Sr 0.894 0.894 0.076
Sr 0.980 0.980 0.618
Ga 0.278 0.278 0.607
Ga 0.722 0.722 0.393
Ge 0.341 0.341 0.451
Ge 0.399 0.399 0.924
Ge 0.475 0.475 0.773
Ge 0.525 0.525 0.227
Ge 0.601 0.601 0.076
Ge 0.659 0.659 0.549

Main lines, in order of rising 2θ (10° ≤ 2θ ≤ 90°):
| 2theta | I (rel.) |
| --- | --- |
| 29.8 | 89 |
| 30.1 | 76 |
| 30.9 | 100 |
| 34.7 | 52 |
| 36.7 | 93 |
| 38.2 | 76 |



3.
# Hg3AsBr2
Simulated powder diffraction line list, CuKα. Input: a structure optimized by DFT (GGA-PBE).
Neutral-atom scattering factors, no anomalous dispersion.

Structure:
Cell lengths 7.372, 8.505, 8.614 Å; angles 64.77, 85.69, 73.33 degrees
Fractional coordinates of all 12 atoms:
Hg 0.145 0.067 0.427
Hg 0.311 0.499 0.265
Hg 0.317 0.289 0.986
Hg 0.683 0.711 0.014
Hg 0.689 0.501 0.735
Hg 0.855 0.933 0.573
As 0.441 0.180 0.290
As 0.559 0.820 0.710
Br 0.165 0.438 0.682
Br 0.255 0.838 0.175
Br 0.745 0.162 0.825
Br 0.835 0.562 0.318

Main lines, in order of rising 2θ (10° ≤ 2θ ≤ 90°):
| 2theta | I (rel.) |
| --- | --- |
| 17.4 | 100 |
| 19.7 | 47 |
| 20.8 | 57 |
| 21.9 | 60 |
| 28.8 | 54 |
| 33.3 | 54 |